# SrLi17Dy
Computed powder X-ray diffraction pattern, Cu Kα. Input: a cell relaxed with GGA-PBE.
Intensities are scaled so that the largest is 1000.

Main lines, sorted by position (15° ≤ 2θ ≤ 90°):
Position (°2θ), Rel. int.
15.72, 324
17.70, 1000
17.95, 323
21.34, 258
25.32, 973
27.86, 271
30.91, 359
35.84, 282
35.98, 532
51.69, 288

Structural model:
Cell lengths 10.0207, 10.0207, 14.8223 Å; angles 90.00, 90.00, 120.00 degrees
Space group R3m (No. 160, hexagonal axes)
One atom of each set of equivalent atoms:
Sr 0.0000 0.0000 0.0000 [3 per cell]
Li 0.0000 0.0000 0.5520 [3 per cell]
Li 0.0000 0.0000 0.7458 [3 per cell]
Li 0.0418 0.3670 0.3177 [18 per cell]
Li 0.1705 0.3411 0.4855 [9 per cell]
Li 0.1760 0.3519 0.8366 [9 per cell]
Li 0.1768 0.3537 0.1332 [9 per cell]
Dy 0.0000 0.0000 0.3156 [3 per cell]

# U2Sb2AuSe2
Computed powder X-ray diffraction pattern, Cu Kα. Input: a cell relaxed with GGA-PBE.
Intensities are scaled so that the largest is 1000.

Main lines, sorted by position (15° ≤ 2θ ≤ 90°):
Position (°2θ), Rel. int.
21.44, 163
23.40, 1000
26.53, 155
36.64, 511
39.08, 547
42.84, 298
45.00, 151
46.05, 171
54.64, 163
69.21, 164

Structural model:
Cell lengths 4.6097, 4.6097, 12.4360 Å; angles 90.00, 90.00, 120.00 degrees
Space group P-3m1 (No. 164)
One atom of each set of equivalent atoms:
U 0.3333 0.6667 0.1593 [2 per cell]
Sb 0.0000 0.0000 0.2910 [2 per cell]
Au 0.0000 0.0000 0.5000 [1 per cell]
Se 0.3333 0.6667 0.9188 [2 per cell]